This entry pairs a crystal structure of K2ICl5 with its theoretical powder X-ray diffraction pattern. Radiation: Cu Kα (weighted mean of Kα1 and Kα2). Structure: the PBE geometry in Alexandria.
Peak positions follow from Bragg's law for the DFT cell and can differ from measured ones.

Atomic structure:
Cell lengths 6.366, 6.366, 7.841 Å; angles 110.35, 110.35, 87.08 degrees
Atoms (fractional coordinates):
K (0.000, 0.000, 0.000)
K (0.512, 0.512, 0.282)
I (0.255, 0.255, 0.640)
Cl (0.043, 0.448, 0.870)
Cl (0.062, 0.467, 0.409)
Cl (0.448, 0.043, 0.870)
Cl (0.467, 0.062, 0.409)
Cl (0.753, 0.753, 0.136)

Largest 6 diffraction maxima, sorted by position, 10° ≤ 2θ ≤ 90°:
2theta  Rel. int.
14.9  80
15.9  44
21.9  52
22.9  100
32.1  63
33.1  52

This entry pairs a crystal structure of K3ICl4 with its theoretical powder X-ray diffraction pattern. Radiation: Cu Kα (weighted mean of Kα1 and Kα2). Structure: the PBE geometry in Alexandria.
Peak positions follow from Bragg's law for the DFT cell and can differ from measured ones.

Atomic structure:
Cell lengths 6.265, 9.823, 11.165 Å; angles 90.00, 90.00, 90.00 degrees
Atoms (fractional coordinates):
K (0.250, 0.015, 0.185)
K (0.250, 0.250, 0.616)
K (0.250, 0.485, 0.185)
K (0.750, 0.515, 0.815)
K (0.750, 0.750, 0.384)
K (0.750, 0.985, 0.815)
I (0.250, 0.750, 0.888)
I (0.750, 0.250, 0.112)
Cl (0.250, 0.013, 0.886)
Cl (0.250, 0.250, 0.352)
Cl (0.250, 0.487, 0.886)
Cl (0.250, 0.750, 0.318)
Cl (0.750, 0.250, 0.682)
Cl (0.750, 0.513, 0.114)
Cl (0.750, 0.750, 0.648)
Cl (0.750, 0.987, 0.114)

Largest 6 diffraction maxima, sorted by position, 10° ≤ 2θ ≤ 90°:
2theta  Rel. int.
18.3  81
18.6  100
21.3  59
27.9  60
28.5  88
36.6  48

Number 1 is which compound?
K2ICl5